Entry 1:
This entry pairs a crystal structure of Rb2ScF2 with its computed X-ray powder pattern. Radiation: CuKα. Structure: DFT lattice parameters and positions (PBE).
Peak positions follow from Bragg's law for the DFT cell and can differ from measured ones.

Lattice parameters (Å, degrees): 4.1445 4.1445 20.7544 90.00 90.00 90.00
Element x y z (fractional)
1 Rb 0.0000 0.0000 0.0000
2 Rb 0.0000 0.0000 0.2935
3 Rb 0.5000 0.5000 0.5000
4 Rb 0.5000 0.5000 0.7935
5 Sc 0.0000 0.0000 0.6345
6 Sc 0.5000 0.5000 0.1345
7 F 0.0000 0.5000 0.1229
8 F 0.0000 0.5000 0.6229
9 F 0.5000 0.0000 0.1229
10 F 0.5000 0.0000 0.6229

Principal peaks in the range 5 to 70 degrees two-theta, sorted by position:
2θ/deg	I (rel.)	h k l
25.05	100.0	1 0 3
25.76	22.1	0 0 6
30.50	27.8	1 1 0
35.17	18.4	1 1 4
43.67	19.7	2 0 0
51.01	26.7	2 1 3


Entry 2:
This entry pairs a crystal structure of H4PbI3N with its computed X-ray powder pattern. Radiation: CuKα. Structure: DFT lattice parameters and positions (PBE).
Peak positions follow from Bragg's law for the DFT cell and can differ from measured ones.

Lattice parameters (Å, degrees): 8.0761 8.5564 14.8066 90.00 90.00 89.86
Element x y z (fractional)
1 H 0.0000 0.0000 0.0000
2 H 0.0002 0.1758 0.0545
3 H 0.0046 0.5046 0.6117
4 H 0.0105 0.0059 0.1152
5 H 0.0137 0.4978 0.4965
6 H 0.0152 0.6740 0.5512
7 H 0.1737 0.0644 0.0516
8 H 0.1812 0.5533 0.5575
9 H 0.4995 0.9437 0.7228
10 H 0.5005 0.1194 0.7772
11 H 0.5025 0.6136 0.1646
12 H 0.5110 0.1133 0.6621
13 H 0.5120 0.4441 0.2252
14 H 0.5143 0.6204 0.2798
15 H 0.6738 0.0530 0.7256
16 H 0.6796 0.5617 0.2177
17 Pb 0.1538 0.5598 0.8882
18 Pb 0.1823 0.0590 0.3886
19 Pb 0.6538 0.5597 0.8886
20 Pb 0.6823 0.0593 0.3884
21 I 0.4001 0.2635 0.9198
22 I 0.4000 0.6591 0.7244
23 I 0.3999 0.7540 0.0210
24 I 0.4274 0.1544 0.2236
25 I 0.4266 0.2604 0.5181
26 I 0.4291 0.7651 0.4244
27 I 0.8987 0.8564 0.8574
28 I 0.9008 0.3658 0.7557
29 I 0.9006 0.4606 0.0526
30 I 0.9275 0.3534 0.3523
31 I 0.9276 0.8584 0.2591
32 I 0.9280 0.9638 0.5534
33 N 0.0463 0.0615 0.0554
34 N 0.0537 0.5574 0.5541
35 N 0.5463 0.0574 0.7218
36 N 0.5521 0.5600 0.2219

Principal peaks in the range 5 to 70 degrees two-theta, sorted by position:
2θ/deg	I (rel.)	h k l
11.95	100.0	0 1 1
23.54	54.5	1 1 -3
30.45	54.3	2 1 -3
32.81	32.0	2 2 2
36.39	21.5	0 3 -3
39.16	23.7	2 3 -1